For InGaAg3, a crystal structure in Alexandria, relaxed with PBE gives the simulated X-ray diffraction stick pattern in this record (a wavelength of 1.5418 Å).
No peak broadening, texture or thermal motion is included.

Atomic structure:
```
InGaAg3
1.0
7.3080 0.0000 0.0000
0.0000 6.2042 0.0000
-5.6225 0.0000 8.3572
In Ga Ag
4 4 12
Direct
0.2123 0.1354 0.0552 In
0.2123 0.3646 0.5552 In
0.7877 0.6354 0.4448 In
0.7877 0.8646 0.9448 In
0.3802 0.6180 0.8550 Ga
0.3802 0.8820 0.3550 Ga
0.6198 0.1180 0.6450 Ga
0.6198 0.3820 0.1450 Ga
0.0111 0.6267 0.2560 Ag
0.0111 0.8733 0.7560 Ag
0.2066 0.6219 0.0580 Ag
0.2066 0.8781 0.5580 Ag
0.4021 0.1337 0.8548 Ag
0.4021 0.3663 0.3548 Ag
0.5979 0.6337 0.6452 Ag
0.5979 0.8663 0.1452 Ag
0.7934 0.1219 0.4420 Ag
0.7934 0.3781 0.9420 Ag
0.9889 0.1267 0.2440 Ag
0.9889 0.3733 0.7440 Ag
```

Peak list (8 most intense, 10 to 90 degrees two-theta, low angle first)
- (1 2 1), 2θ 36.8, I 1000
- (3 0 -2), 2θ 37.1, I 321
- (2 2 -3), 2θ 41.3, I 477
- (2 0 2), 2θ 45.7, I 175
- (0 2 5), 2θ 63.2, I 125
- (4 2 -1), 2θ 63.5, I 119
- (1 4 -4), 2θ 72.2, I 83
- (1 0 6), 2θ 78.6, I 95